No. 1
For AcCeCCl, a DFT-relaxed cell (GGA-PBE, Alexandria) gives the computed X-ray powder pattern in this record (λ = 1.5418 Å (Cu Kα)).
No peak broadening, texture or thermal motion is included.

```
AcCeCCl
1.0
1.9056 1.1002 7.5732
-1.9056 1.1002 7.5732
0.0000 -2.2004 7.5732
Ac Ce C Cl
1 1 1 1
Cartesian
0.0000 0.0000 0.0000
0.0000 0.0000 18.0561
0.0000 0.0000 9.3088
0.0000 0.0000 5.0877
```

Peak list (8 most intense, 2θ from 15° to 90°, sorted by position)
d (Å), I/Imax
3.787, 27
3.266, 80
2.854, 77
2.670, 100
2.524, 22
1.906, 39
1.871, 30
1.521, 28



No. 2
For AcCN2Cl, a DFT-relaxed cell (GGA-PBE, Alexandria) gives the computed X-ray powder pattern in this record (λ = 1.5418 Å (Cu Kα)).
No peak broadening, texture or thermal motion is included.

```
AcCN2Cl
1.0
5.4434 0.0000 0.0000
0.0000 4.2053 0.0000
-1.4223 0.0000 7.6931
Ac C N Cl
2 2 4 2
Cartesian
0.6453 1.0513 1.8180
3.3758 3.1540 5.8752
0.6570 1.0513 6.6037
3.3641 3.1540 1.0894
-0.5791 1.0513 6.7827
2.1506 3.1540 1.2391
1.8705 1.0513 6.4540
4.6002 3.1540 0.9104
0.6159 3.1540 4.1789
3.4052 1.0513 3.5143
```

Peak list (8 most intense, 2θ from 15° to 90°, sorted by position)
d (Å), I/Imax
4.824, 81
4.061, 48
3.847, 53
3.690, 100
3.307, 61
2.921, 39
2.660, 70
2.260, 46